Computed X-ray powder pattern of MgV4O5F7 for Cu Kα (weighted mean of Kα1 and Kα2), from a DFT-relaxed cell (PBE+U, the Materials Project).
Lines closer than 0.1° are merged.

Structure:
abc: 5.2044 5.5002 9.0208
angles: 72.37 89.49 62.74
Space group P1 (No. 1)
Unique sites:
1 Mg 0.0000 0.0000 0.0000
2 V 0.0072 0.0594 0.6319
3 V 0.2536 0.6186 0.4056
4 V 0.4113 0.1477 0.1455
5 V 0.6792 0.6089 0.8928
6 O 0.0444 0.3305 0.0756
7 O 0.3831 0.8527 0.7279
8 O 0.4046 0.8350 0.3260
9 O 0.5790 0.3002 0.9922
10 O 0.9951 0.8599 0.5194
11 F 0.0644 0.3587 0.4784
12 F 0.4333 0.8560 0.0279
13 F 0.4492 0.3454 0.2809
14 F 0.5625 0.3430 0.5809
15 F 0.9109 0.8398 0.8456
16 F 0.9296 0.8221 0.2149
17 F 0.9446 0.3103 0.7886

Largest 10 diffraction maxima, sorted by position, 10° ≤ 2θ ≤ 90°:
- 23.23°, rel. 99
- 23.47°, rel. 100
- 24.00°, rel. 100
- 32.67°, rel. 21
- 33.15°, rel. 26
- 39.39°, rel. 31
- 47.49°, rel. 22
- 49.15°, rel. 24
- 52.53°, rel. 29
- 54.25°, rel. 22


Computed X-ray powder pattern of LiVPO5 for Cu Kα (weighted mean of Kα1 and Kα2), from a DFT-relaxed cell (PBE+U, the Materials Project).
Lines closer than 0.1° are merged.

Structure:
abc: 6.2169 4.8836 8.6734
angles: 90.00 132.61 90.00
Space group Pc (No. 7)
Unique sites:
1 Li 0.0000 0.0825 0.0000
2 V 0.5541 0.2450 0.2242
3 P 0.0491 0.4760 0.7247
4 O 0.1955 0.2950 0.9191
5 O 0.2731 0.3279 0.2578
6 O 0.5668 0.0934 0.7337
7 O 0.8068 0.3420 0.1749
8 O 0.9092 0.2897 0.5325

Largest 10 diffraction maxima, sorted by position, 10° ≤ 2θ ≤ 90°:
- 18.17°, rel. 31
- 22.93°, rel. 69
- 23.17°, rel. 100
- 26.70°, rel. 41
- 27.51°, rel. 56
- 27.95°, rel. 68
- 28.76°, rel. 63
- 42.49°, rel. 16
- 46.56°, rel. 21
- 47.73°, rel. 24


Computed X-ray powder pattern of Li3V2P4H2O16 for Cu Kα (weighted mean of Kα1 and Kα2), from a DFT-relaxed cell (PBE+U, the Materials Project).
Lines closer than 0.1° are merged.

Structure:
abc: 7.8848 8.0833 9.7420
angles: 90.69 111.90 90.13
Space group P1 (No. 1)
Unique sites:
1 Li 0.0000 0.0000 0.0000
2 Li 0.0007 0.0007 0.4979
3 Li 0.1940 0.5002 0.4435
4 Li 0.4921 0.2345 0.9933
5 Li 0.6874 0.7325 0.9517
6 Li 0.6868 0.7345 0.4496
7 V 0.3381 0.8605 0.9687
8 V 0.3427 0.8716 0.4717
9 V 0.8408 0.3648 0.4736
10 V 0.8537 0.3685 0.9728
11 P 0.0734 0.7142 0.1550
12 P 0.0746 0.7145 0.6536
13 P 0.1114 0.2185 0.2905
14 P 0.1115 0.2156 0.7905
15 P 0.5806 0.5176 0.1549
16 P 0.5815 0.5195 0.6548
17 P 0.6058 0.0211 0.7881
18 P 0.6065 0.0234 0.2873
19 H 0.3544 0.3760 0.2122
20 H 0.3559 0.3746 0.7118
21 H 0.8321 0.8758 0.2310
22 H 0.8324 0.8763 0.7315
23 O 0.0224 0.5402 0.0827
24 O 0.0302 0.5424 0.5734
25 O 0.1487 0.0486 0.8698
26 O 0.1488 0.0496 0.3656
27 O 0.1792 0.8216 0.5784
28 O 0.1801 0.8184 0.0816
29 O 0.1932 0.6943 0.3212
30 O 0.1951 0.6949 0.8178
31 O 0.2804 0.3219 0.3135
32 O 0.2899 0.3047 0.8129
33 O 0.3976 0.4284 0.6286
34 O 0.4052 0.4139 0.1285
35 O 0.4917 0.0381 0.6237
36 O 0.4927 0.0406 0.1208
37 O 0.5054 0.9151 0.3613
38 O 0.5072 0.9117 0.8647
39 O 0.5338 0.6840 0.5734
40 O 0.5353 0.6843 0.0778
41 O 0.6577 0.1897 0.8699
42 O 0.6639 0.1930 0.3626
43 O 0.6906 0.4130 0.0795
44 O 0.6968 0.5397 0.8224
45 O 0.6979 0.4178 0.5843
46 O 0.6981 0.5393 0.3226
47 O 0.7895 0.9242 0.3167
48 O 0.7914 0.9265 0.8173
49 O 0.8939 0.8070 0.6265
50 O 0.8950 0.8106 0.1275
51 O 0.9861 0.1955 0.1223
52 O 0.9875 0.1946 0.6229
53 O 0.9903 0.3163 0.8612
54 O 0.9935 0.3198 0.3646

Largest 10 diffraction maxima, sorted by position, 10° ≤ 2θ ≤ 90°:
- 16.28°, rel. 33
- 16.40°, rel. 39
- 22.68°, rel. 31
- 24.96°, rel. 100
- 25.10°, rel. 35
- 25.25°, rel. 34
- 28.87°, rel. 45
- 29.15°, rel. 46
- 32.91°, rel. 32
- 33.15°, rel. 28


Computed X-ray powder pattern of Li3Fe4B4O12 for Cu Kα (weighted mean of Kα1 and Kα2), from a DFT-relaxed cell (PBE+U, the Materials Project).
Lines closer than 0.1° are merged.

Structure:
abc: 5.2236 5.2478 20.4160
angles: 90.63 90.81 119.67
Space group P1 (No. 1)
Unique sites:
1 Li 0.0000 0.0000 0.0000
2 Li 0.0008 0.9866 0.2463
3 Li 0.3079 0.3255 0.6255
4 Li 0.3328 0.3013 0.8726
5 Li 0.3355 0.3042 0.3715
6 Li 0.9926 0.9962 0.4980
7 Fe 0.3334 0.6514 0.4831
8 Fe 0.3382 0.6559 0.9820
9 Fe 0.6469 0.3249 0.2295
10 Fe 0.6505 0.9704 0.3564
11 Fe 0.6662 0.9696 0.8551
12 Fe 0.6687 0.3231 0.7339
13 Fe 0.9744 0.6565 0.6081
14 Fe 0.9880 0.6458 0.1086
15 B 0.0013 0.6507 0.8548
16 B 0.3254 0.6548 0.2292
17 B 0.3276 0.6571 0.7291
18 B 0.6538 0.9871 0.6061
19 B 0.6589 0.9878 0.1046
20 B 0.6633 0.3172 0.9809
21 B 0.6636 0.3185 0.4800
22 B 0.9980 0.6485 0.3542
23 O 0.0129 0.9157 0.8573
24 O 0.0189 0.9198 0.3473
25 O 0.0573 0.6349 0.7129
26 O 0.0773 0.6816 0.2089
27 O 0.2449 0.6238 0.8728
28 O 0.2458 0.6297 0.3749
29 O 0.3000 0.3834 0.2323
30 O 0.3616 0.4148 0.7211
31 O 0.3855 0.7521 0.0863
32 O 0.3904 0.3017 0.4737
33 O 0.3957 0.3073 0.9723
34 O 0.3993 0.7222 0.5911
35 O 0.5592 0.9228 0.7512
36 O 0.5867 0.9085 0.2465
37 O 0.6313 0.2294 0.6284
38 O 0.6782 0.2507 0.1245
39 O 0.6868 0.0706 0.4651
40 O 0.6871 0.0709 0.9646
41 O 0.7346 0.3923 0.3388
42 O 0.7359 0.3956 0.8339
43 O 0.9081 0.9623 0.0997
44 O 0.9109 0.5800 0.5009
45 O 0.9126 0.5738 0.0041
46 O 0.9285 0.0127 0.5980

Largest 10 diffraction maxima, sorted by position, 10° ≤ 2θ ≤ 90°:
- 19.52°, rel. 33
- 19.61°, rel. 54
- 21.49°, rel. 86
- 21.61°, rel. 39
- 25.96°, rel. 57
- 26.53°, rel. 40
- 34.14°, rel. 61
- 34.34°, rel. 33
- 35.18°, rel. 100
- 40.55°, rel. 33


Computed X-ray powder pattern of V6AgO15 for Cu Kα (weighted mean of Kα1 and Kα2), from a DFT-relaxed cell (PBE+U, the Materials Project).
Lines closer than 0.1° are merged.

Structure:
abc: 7.3181 7.9979 10.2257
angles: 70.78 90.00 76.78
Space group P-1 (No. 2)
Unique sites:
1 V 0.0814 0.1749 0.3992
2 V 0.1061 0.0758 0.0899
3 V 0.1919 0.7323 0.3821
4 V 0.3084 0.2662 0.6194
5 V 0.3940 0.9243 0.9103
6 V 0.4187 0.8252 0.6007
7 Ag 0.2518 0.4929 0.0973
8 O 0.0354 0.3760 0.2787
9 O 0.0503 0.2994 0.0269
10 O 0.0667 0.2330 0.5769
11 O 0.1184 0.0266 0.2773
12 O 0.1290 0.9840 0.9270
13 O 0.1573 0.8707 0.5539
14 O 0.1961 0.7156 0.2259
15 O 0.2498 0.5007 0.4995
16 O 0.3040 0.2838 0.7734
17 O 0.3428 0.1285 0.4456
18 O 0.3712 0.0151 0.0735
19 O 0.3817 0.9737 0.7225
20 O 0.4332 0.7669 0.4231
21 O 0.4499 0.7008 0.9730
22 O 0.4733 0.6242 0.7212

Largest 10 diffraction maxima, sorted by position, 10° ≤ 2θ ≤ 90°:
- 18.44°, rel. 41
- 22.87°, rel. 35
- 26.03°, rel. 50
- 27.48°, rel. 72
- 28.86°, rel. 100
- 30.19°, rel. 57
- 30.53°, rel. 56
- 32.41°, rel. 55
- 45.20°, rel. 38
- 49.85°, rel. 58


Computed X-ray powder pattern of Sr2CaWO6 for Cu Kα (weighted mean of Kα1 and Kα2), from a DFT-relaxed cell (PBE+U, the Materials Project).
Lines closer than 0.1° are merged.

Structure:
abc: 5.8345 5.8345 8.4487
angles: 90.00 90.00 90.00
Space group I4/m (No. 87)
Unique sites:
1 Sr 0.0000 0.5000 0.2500
2 Ca 0.0000 0.0000 0.0000
3 W 0.0000 0.0000 0.5000
4 O 0.0000 0.0000 0.2686
5 O 0.1621 0.7065 0.5000

Largest 10 diffraction maxima, sorted by position, 10° ≤ 2θ ≤ 90°:
- 18.48°, rel. 58
- 30.28°, rel. 100
- 30.65°, rel. 58
- 36.02°, rel. 19
- 42.81°, rel. 18
- 43.89°, rel. 29
- 53.57°, rel. 24
- 54.25°, rel. 46
- 62.98°, rel. 19
- 87.98°, rel. 14


Computed X-ray powder pattern of Mn3SnO8 for Cu Kα (weighted mean of Kα1 and Kα2), from a DFT-relaxed cell (PBE+U, the Materials Project).
Lines closer than 0.1° are merged.

Structure:
abc: 8.4470 8.4470 8.4470
angles: 90.00 90.00 90.00
Space group P4_332 (No. 212)
Unique sites:
1 Mn 0.1115 0.1385 0.6250
2 Sn 0.1250 0.8750 0.3750
3 O 0.0917 0.1233 0.3958
4 O 0.1179 0.6179 0.8821

Largest 10 diffraction maxima, sorted by position, 10° ≤ 2θ ≤ 90°:
- 18.19°, rel. 100
- 23.55°, rel. 10
- 35.24°, rel. 39
- 36.86°, rel. 17
- 42.82°, rel. 46
- 46.88°, rel. 12
- 56.62°, rel. 16
- 62.17°, rel. 24
- 65.36°, rel. 15
- 74.51°, rel. 9


Computed X-ray powder pattern of MgMn6O4F8 for Cu Kα (weighted mean of Kα1 and Kα2), from a DFT-relaxed cell (PBE+U, the Materials Project).
Lines closer than 0.1° are merged.

Structure:
abc: 5.1868 5.8532 8.1035
angles: 86.02 89.53 87.17
Space group P1 (No. 1)
Unique sites:
1 Mg 0.0000 0.0000 0.0000
2 Mn 0.0016 0.3789 0.2117
3 Mn 0.0033 0.9922 0.5106
4 Mn 0.1809 0.6011 0.8129
5 Mn 0.4654 0.1430 0.8491
6 Mn 0.5056 0.8317 0.1826
7 Mn 0.5217 0.4850 0.5072
8 O 0.1713 0.3021 0.9532
9 O 0.1957 0.7094 0.5774
10 O 0.3375 0.8581 0.9396
11 O 0.8325 0.2803 0.4321
12 F 0.1537 0.0101 0.2474
13 F 0.2997 0.1728 0.6007
14 F 0.3634 0.5129 0.2625
15 F 0.5985 0.4448 0.7685
16 F 0.6908 0.1463 0.0894
17 F 0.7112 0.8051 0.4131
18 F 0.8153 0.9905 0.7793
19 F 0.8671 0.6907 0.0791

Largest 10 diffraction maxima, sorted by position, 10° ≤ 2θ ≤ 90°:
- 24.47°, rel. 100
- 25.58°, rel. 62
- 32.40°, rel. 25
- 33.10°, rel. 25
- 33.25°, rel. 37
- 33.38°, rel. 29
- 40.10°, rel. 26
- 49.25°, rel. 27
- 49.56°, rel. 28
- 57.22°, rel. 24